Entry 1:
For P3Se, a cell relaxed with PBE gives the theoretical PXRD pattern in this record (Cu Kα (λ = 1.5418 Å)).

Main lines, by intensity (2θ = 5–70°):
| two_theta | I (rel.) |
| --- | --- |
| 17.76 | 100 |
| 30.56 | 89 |
| 32.93 | 37 |
| 32.46 | 37 |
| 20.77 | 24 |
| 45.32 | 21 |
| 46.04 | 19 |
| 48.15 | 16 |
| 49.50 | 13 |
| 48.63 | 13 |

Structure:
a b c (Å): 4.398 4.570 5.226
angles (deg): 101.19 101.93 93.91
Positions (direct):
P  0.000  0.000  0.000
P  0.221  0.741  0.706
P  0.599  0.624  0.999
Se  0.719  0.237  0.688



Entry 2:
For Zr6Tl3Ru, a cell relaxed with PBE gives the theoretical PXRD pattern in this record (Cu Kα (λ = 1.5418 Å)).

Main lines, by intensity (2θ = 5–70°):
| two_theta | I (rel.) |
| --- | --- |
| 35.89 | 100 |
| 37.78 | 40 |
| 39.34 | 37 |
| 33.93 | 35 |
| 17.61 | 34 |
| 36.80 | 24 |
| 31.77 | 23 |
| 40.09 | 22 |
| 61.92 | 19 |
| 22.65 | 19 |

Structure:
a b c (Å): 6.009 6.009 7.834
angles (deg): 104.77 104.77 58.00
Positions (direct):
Zr  0.106  0.617  0.174
Zr  0.133  0.133  0.418
Zr  0.383  0.894  0.826
Zr  0.617  0.106  0.174
Zr  0.867  0.867  0.582
Zr  0.894  0.383  0.826
Tl  0.378  0.378  0.807
Tl  0.500  0.500  0.500
Tl  0.622  0.622  0.193
Ru  0.000  0.000  0.000